The following is a computed PXRD pattern of RbTaCrO6. It was derived from a GGA+U-relaxed structure, using λ = 1.5418 Å (Cu Kα).

Atomic structure:
```
data_RbTaCrO6
_space_group_name_H-M_alt 'P 3'
_space_group_IT_number 143
_cell_length_a 5.2100
_cell_length_b 5.2100
_cell_length_c 6.3020
_cell_angle_alpha 90.00
_cell_angle_beta 90.00
_cell_angle_gamma 120.00
loop_
_space_group_symop_operation_xyz
'x,y,z'
'-y,x-y,z'
'-x+y,-x,z'
loop_
_atom_site_label
_atom_site_type_symbol
_atom_site_fract_x
_atom_site_fract_y
_atom_site_fract_z
Rb1 Rb 0.0000 0.0000 0.0000
Ta1 Ta 0.3333 0.6667 0.4488
Cr1 Cr 0.6667 0.3333 0.5338
O1 O 0.4075 0.3832 0.3186
O2 O 0.4108 0.0161 0.6655
```

Main lines, in order of falling intensity (2θ from 5° to 70°):
24.3°, d 3.669, I = 100, (0 1 1); 14.1°, d 6.302, I = 39, (0 0 1); 45.2°, d 2.008, I = 34, (2 -1 2); 34.4°, d 2.605, I = 27, (1 1 0); 55.8°, d 1.646, I = 20, (3 -2 1); 42.6°, d 2.124, I = 18, (2 0 1); 19.7°, d 4.512, I = 18, (1 0 0); 34.7°, d 2.583, I = 15, (1 0 2)